Starting from DFT lattice parameters and positions (GGA-PBE), the PXRD pattern of ErMgB12 was simulated for Cu Kα, 1.54184 Å.
Neutral-atom scattering factors, no anomalous dispersion.

Principal peaks in the range 10° ≤ 2θ ≤ 90°, sorted by position:
(0 0 1), 10.76°, intensity 87.0
(1 0 0), 21.68°, intensity 45.1
(1 0 1), 24.29°, intensity 56.1
(1 1 0), 30.86°, intensity 100.0
(1 1 1), 32.81°, intensity 26.4
(1 1 2), 38.03°, intensity 44.3
(1 1 3), 45.64°, intensity 21.6
(1 0 4), 49.65°, intensity 16.1
(2 1 0), 49.80°, intensity 31.9
(2 1 4), 68.68°, intensity 18.6

Atomic structure:
```
data_ErMgB12
_chemical_formula_sum 'Er1 Mg1 B12'
_space_group_name_H-M_alt 'P 4/m m m'
_space_group_IT_number 123
_space_group_name_Hall '-P 4 2'
_cell_length_a 4.0927
_cell_length_b 4.0927
_cell_length_c 8.2190
_cell_angle_alpha 90.00
_cell_angle_beta 90.00
_cell_angle_gamma 90.00
loop_
_atom_site_label
_atom_site_type_symbol
_atom_site_fract_x
_atom_site_fract_y
_atom_site_fract_z
Er1 Er 0.0000 0.0000 0.0000
Mg1 Mg 0.0000 0.0000 0.5000
B1 B 0.1995 0.5000 0.2491
B2 B 0.5000 0.5000 0.0991
B3 B 0.5000 0.5000 0.3996
```

***

Starting from DFT lattice parameters and positions (GGA-PBE), the PXRD pattern of ErMgB4 was simulated for Cu Kα, 1.54184 Å.
Neutral-atom scattering factors, no anomalous dispersion.

Principal peaks in the range 10° ≤ 2θ ≤ 90°, sorted by position:
(0 0 2), 15.97°, intensity 73.6
(1 0 1), 27.37°, intensity 100.0
(0 0 4), 32.25°, intensity 22.3
(1 0 3), 35.81°, intensity 62.0
(1 1 0), 37.30°, intensity 19.2
(1 1 2), 40.81°, intensity 65.3
(1 0 5), 48.96°, intensity 30.0
(2 1 1), 61.38°, intensity 22.3
(2 1 3), 66.31°, intensity 20.7
(2 1 5), 75.67°, intensity 16.4

Atomic structure:
```
data_ErMgB4
_chemical_formula_sum 'Er2 Mg2 B8'
_space_group_name_H-M_alt 'I -4 m 2'
_space_group_IT_number 119
_space_group_name_Hall 'I -4 -2'
_cell_length_a 3.4090
_cell_length_b 3.4090
_cell_length_c 11.1013
_cell_angle_alpha 90.00
_cell_angle_beta 90.00
_cell_angle_gamma 90.00
loop_
_atom_site_label
_atom_site_type_symbol
_atom_site_fract_x
_atom_site_fract_y
_atom_site_fract_z
Er1 Er 0.0000 0.0000 0.0000
Mg1 Mg 0.0000 0.5000 0.7500
B1 B 0.0000 0.0000 0.4136
B2 B 0.0000 0.5000 0.1718
```

***

Starting from DFT lattice parameters and positions (GGA-PBE), the PXRD pattern of ErMn2B4 was simulated for Cu Kα, 1.54184 Å.
Neutral-atom scattering factors, no anomalous dispersion.

Principal peaks in the range 10° ≤ 2θ ≤ 90°, sorted by position:
(0 0 2), 12.66°, intensity 27.2
(0 0 4), 25.48°, intensity 20.3
(0 1 1), 28.11°, intensity 46.5
(1 0 1), 29.91°, intensity 17.5
(1 0 3), 35.10°, intensity 51.0
(0 0 6), 38.64°, intensity 16.1
(0 1 5), 42.57°, intensity 100.0
(1 1 4), 48.42°, intensity 15.4
(1 0 7), 54.91°, intensity 13.1
(1 1 8), 68.21°, intensity 30.3

Atomic structure:
```
data_ErMn2B4
_chemical_formula_sum 'Er2 Mn4 B8'
_space_group_name_H-M_alt 'I m m m'
_space_group_IT_number 71
_space_group_name_Hall '-I 2 2'
_cell_length_a 3.0579
_cell_length_b 3.2593
_cell_length_c 13.9806
_cell_angle_alpha 90.00
_cell_angle_beta 90.00
_cell_angle_gamma 90.00
loop_
_atom_site_label
_atom_site_type_symbol
_atom_site_fract_x
_atom_site_fract_y
_atom_site_fract_z
Er1 Er 0.0000 0.0000 0.0000
Mn1 Mn 0.0000 0.5000 0.3082
B1 B 0.0000 0.0000 0.4051
B2 B 0.0000 0.5000 0.1525
```

***

Starting from DFT lattice parameters and positions (GGA-PBE), the PXRD pattern of ErB4Mo was simulated for Cu Kα, 1.54184 Å.
Neutral-atom scattering factors, no anomalous dispersion.

Principal peaks in the range 10° ≤ 2θ ≤ 90°, sorted by position:
(0 0 1), 24.68°, intensity 81.2
(1 3 0), 27.40°, intensity 25.3
(0 4 0), 30.74°, intensity 81.7
(1 4 0), 34.30°, intensity 20.5
(1 3 1), 37.21°, intensity 28.5
(2 3 0), 37.89°, intensity 20.8
(0 4 1), 39.81°, intensity 100.0
(1 4 1), 42.72°, intensity 27.6
(2 3 1), 45.74°, intensity 29.6
(0 4 2), 60.39°, intensity 24.4

Atomic structure:
```
data_ErB4Mo
_chemical_formula_sum 'Er4 B16 Mo4'
_space_group_name_H-M_alt 'P b a m'
_space_group_IT_number 55
_cell_length_a 6.0149
_cell_length_b 11.6118
_cell_length_c 3.6070
_cell_angle_alpha 90.00
_cell_angle_beta 90.00
_cell_angle_gamma 90.00
loop_
_space_group_symop_operation_xyz
'x,y,z'
'-x,-y,-z'
'-x,-y,z'
'x,y,-z'
'x+1/2,-y+1/2,-z'
'-x+1/2,y+1/2,z'
'-x+1/2,y+1/2,-z'
'x+1/2,-y+1/2,z'
loop_
_atom_site_label
_atom_site_type_symbol
_atom_site_fract_x
_atom_site_fract_y
_atom_site_fract_z
Er1 Er 0.1272 0.1496 0.0000
B1 B 0.0232 0.6941 0.5000
B2 B 0.1145 0.5479 0.5000
B3 B 0.1327 0.9682 0.5000
B4 B 0.2122 0.8135 0.5000
Mo1 Mo 0.1303 0.4162 0.0000
```